Structure and theoretical X-ray powder pattern of Sc2CrCu2 (a PBE-relaxed structure; Cu Kα (λ = 1.5418 Å)).
Lines closer than 0.1° are merged.

The 8 most intense peaks (10° ≤ 2θ ≤ 90°), by angle:
d [Å], 2θ/deg, intensity
7.956, 11.12, 36
3.978, 22.35, 33
2.824, 31.69, 30
2.303, 39.12, 45
2.261, 39.86, 100
2.029, 44.67, 39
1.668, 55.06, 30
1.319, 71.53, 25

```
Sc2CrCu2
1.0
-1.6678 1.6678 7.9558
1.6678 -1.6678 7.9558
1.6678 1.6678 -7.9558
Sc Cr Cu
2 1 2
Direct
0.1026 0.1026 0.0000
0.8974 0.8974 0.0000
0.5000 0.5000 0.0000
0.2500 0.7500 0.5000
0.7500 0.2500 0.5000
```